1.
Theoretical powder diffractogram
Compound: TmGa3Cu3
Radiation: copper Kα
Structure: a DFT-relaxed cell (PBE, Alexandria)

The 10 most intense peaks (2θ from 15° to 90°), low angle first:
2θ/deg  d/Å  I/Imax
29.4  3.036  31.4
31.2  2.869  28.2
34.0  2.638  34.3
35.3  2.546  41.7
37.4  2.407  88.0
39.8  2.264  33.1
40.6  2.223  39.7
42.3  2.135  100.0
43.2  2.096  74.8
47.8  1.904  24.9

Structural model:
```
TmGa3Cu3
1.0
6.808 0.000 0.000
0.000 4.192 0.000
-2.820 0.000 7.867
Tm Ga Cu
2 6 6
direct
0.105 0.250 0.357
0.895 0.750 0.643
0.027 0.250 0.916
0.318 0.750 0.604
0.388 0.750 0.301
0.612 0.250 0.699
0.682 0.250 0.396
0.973 0.750 0.084
0.267 0.750 0.956
0.286 0.250 0.769
0.411 0.250 0.117
0.589 0.750 0.883
0.714 0.750 0.231
0.733 0.250 0.044
```

2.
Theoretical powder diffractogram
Compound: TmZnGa4Cu2
Radiation: copper Kα
Structure: a DFT-relaxed cell (PBE, Alexandria)

The 10 most intense peaks (2θ from 15° to 90°), low angle first:
2θ/deg  d/Å  I/Imax
25.0  3.562  15.1
29.8  3.002  10.6
34.5  2.602  13.6
37.1  2.421  100.0
42.2  2.141  87.5
43.0  2.105  11.7
57.5  1.604  27.2
63.4  1.467  11.3
73.8  1.284  25.0
77.1  1.236  13.9

Structural model:
```
TmZnGa4Cu2
1.0
2.141 1.236 8.522
-2.141 1.236 8.522
0.000 -2.473 8.522
Tm Zn Ga Cu
1 1 4 2
direct
0.000 0.000 0.000
0.500 0.500 0.500
0.124 0.124 0.124
0.396 0.396 0.396
0.604 0.604 0.604
0.876 0.876 0.876
0.248 0.248 0.248
0.752 0.752 0.752
```